Diffraction record for Ta3Zn2N. The powder X-ray diffraction pattern is theoretical, not measured: it uses a structure optimized by DFT (PBE) and Cu Kα, 1.54184 Å.
Kinematic intensities with the Lorentz-polarization factor, no thermal factor.

Top 10 peaks for 2θ = 10–80°, low angle first:
d = 4.953 Å, rel. 7; d = 3.132 Å, rel. 16; d = 2.335 Å, rel. 100; d = 2.215 Å, rel. 59; d = 2.112 Å, rel. 19; d = 1.651 Å, rel. 11; d = 1.566 Å, rel. 12; d = 1.374 Å, rel. 21; d = 1.348 Å, rel. 7; d = 1.301 Å, rel. 22

Structural model:
Lattice parameters (Å, degrees): 7.0043 7.0043 7.0043 90.00 90.00 90.00
Sites, in units of the cell vectors:
Ta 0.0419 0.1250 0.7919
Ta 0.1250 0.7919 0.0419
Ta 0.2081 0.5419 0.3750
Ta 0.2919 0.4581 0.8750
Ta 0.3750 0.2081 0.5419
Ta 0.4581 0.8750 0.2919
Ta 0.5419 0.3750 0.2081
Ta 0.6250 0.7081 0.9581
Ta 0.7081 0.9581 0.6250
Ta 0.7919 0.0419 0.1250
Ta 0.8750 0.2919 0.4581
Ta 0.9581 0.6250 0.7081
Zn 0.0713 0.9287 0.4287
Zn 0.1787 0.1787 0.1787
Zn 0.3213 0.8213 0.6787
Zn 0.4287 0.0713 0.9287
Zn 0.5713 0.5713 0.5713
Zn 0.6787 0.3213 0.8213
Zn 0.8213 0.6787 0.3213
Zn 0.9287 0.4287 0.0713
N 0.1250 0.3750 0.6250
N 0.3750 0.6250 0.1250
N 0.6250 0.1250 0.3750
N 0.8750 0.8750 0.8750

---

Diffraction record for TaZn4N4. The powder X-ray diffraction pattern is theoretical, not measured: it uses a structure optimized by DFT (PBE) and Cu Kα, 1.54184 Å.
Kinematic intensities with the Lorentz-polarization factor, no thermal factor.

Top 10 peaks for 2θ = 10–80°, low angle first:
d = 4.405 Å, rel. 26; d = 2.935 Å, rel. 24; d = 2.898 Å, rel. 54; d = 2.686 Å, rel. 29; d = 2.578 Å, rel. 100; d = 2.481 Å, rel. 84; d = 1.708 Å, rel. 27; d = 1.687 Å, rel. 26; d = 1.666 Å, rel. 19; d = 1.414 Å, rel. 22

Structural model:
Lattice parameters (Å, degrees): 5.8757 5.8757 6.6645 90.00 90.00 87.46
Sites, in units of the cell vectors:
Ta 0.1735 0.8265 0.7500
Ta 0.8265 0.1735 0.2500
Zn 0.0730 0.6257 0.2500
Zn 0.3328 0.3328 0.0000
Zn 0.3328 0.3328 0.5000
Zn 0.3743 0.9270 0.2500
Zn 0.6257 0.0730 0.7500
Zn 0.6672 0.6672 0.0000
Zn 0.6672 0.6672 0.5000
Zn 0.9270 0.3743 0.7500
N 0.1602 0.2248 0.2500
N 0.2248 0.1602 0.7500
N 0.3037 0.6963 0.0015
N 0.3037 0.6963 0.4985
N 0.6963 0.3037 0.5015
N 0.6963 0.3037 0.9985
N 0.7752 0.8398 0.2500
N 0.8398 0.7752 0.7500

---

Diffraction record for TaZnN. The powder X-ray diffraction pattern is theoretical, not measured: it uses a structure optimized by DFT (PBE) and Cu Kα, 1.54184 Å.
Kinematic intensities with the Lorentz-polarization factor, no thermal factor.

Top 10 peaks for 2θ = 10–80°, low angle first:
d = 5.886 Å, rel. 100; d = 3.924 Å, rel. 22; d = 2.731 Å, rel. 26; d = 2.616 Å, rel. 72; d = 2.554 Å, rel. 36; d = 2.407 Å, rel. 57; d = 2.355 Å, rel. 24; d = 2.084 Å, rel. 63; d = 1.581 Å, rel. 31; d = 1.313 Å, rel. 22

Structural model:
Lattice parameters (Å, degrees): 11.9134 11.9134 11.9134 15.26 15.26 15.26
Sites, in units of the cell vectors:
Ta 0.0934 0.0934 0.0934
Ta 0.9066 0.9066 0.9066
Zn 0.3630 0.3630 0.3630
Zn 0.6370 0.6370 0.6370
N 0.2171 0.2171 0.2171
N 0.7829 0.7829 0.7829

---

Diffraction record for Zr3TaN4. The powder X-ray diffraction pattern is theoretical, not measured: it uses a structure optimized by DFT (PBE) and Cu Kα, 1.54184 Å.
Kinematic intensities with the Lorentz-polarization factor, no thermal factor.

Top 10 peaks for 2θ = 10–80°, low angle first:
d = 3.259 Å, rel. 48; d = 2.647 Å, rel. 100; d = 2.270 Å, rel. 23; d = 1.883 Å, rel. 25; d = 1.877 Å, rel. 13; d = 1.863 Å, rel. 18; d = 1.532 Å, rel. 13; d = 1.449 Å, rel. 20; d = 1.447 Å, rel. 10; d = 1.373 Å, rel. 14

Structural model:
Lattice parameters (Å, degrees): 4.5407 7.5097 6.5306 90.00 90.00 90.00
Sites, in units of the cell vectors:
Zr 0.2500 0.0008 0.1603
Zr 0.2500 0.4992 0.1603
Zr 0.2500 0.7500 0.6655
Zr 0.7500 0.2500 0.3345
Zr 0.7500 0.5008 0.8397
Zr 0.7500 0.9992 0.8397
Ta 0.2500 0.2500 0.6771
Ta 0.7500 0.7500 0.3229
N 0.2500 0.0058 0.8211
N 0.2500 0.2500 0.3595
N 0.2500 0.4942 0.8211
N 0.2500 0.7500 0.3365
N 0.7500 0.2500 0.6635
N 0.7500 0.5058 0.1789
N 0.7500 0.7500 0.6405
N 0.7500 0.9942 0.1789

---

Diffraction record for ZrTa4N2. The powder X-ray diffraction pattern is theoretical, not measured: it uses a structure optimized by DFT (PBE) and Cu Kα, 1.54184 Å.
Kinematic intensities with the Lorentz-polarization factor, no thermal factor.

Top 10 peaks for 2θ = 10–80°, low angle first:
d = 2.921 Å, rel. 100; d = 2.835 Å, rel. 39; d = 2.410 Å, rel. 56; d = 1.836 Å, rel. 45; d = 1.704 Å, rel. 19; d = 1.653 Å, rel. 21; d = 1.472 Å, rel. 27; d = 1.461 Å, rel. 21; d = 1.222 Å, rel. 12; d = 1.205 Å, rel. 6

Structural model:
Lattice parameters (Å, degrees): 6.6160 6.6160 6.6160 137.27 137.27 62.02
Sites, in units of the cell vectors:
Zr 0.0000 0.0000 0.0000
Ta 0.0000 0.5000 0.5000
Ta 0.2505 0.2505 0.0000
Ta 0.5000 0.0000 0.5000
Ta 0.7495 0.7495 0.0000
N 0.4114 0.4114 0.0000
N 0.5886 0.5886 0.0000

---

Diffraction record for Tb4N3. The powder X-ray diffraction pattern is theoretical, not measured: it uses a structure optimized by DFT (PBE) and Cu Kα, 1.54184 Å.
Kinematic intensities with the Lorentz-polarization factor, no thermal factor.

Top 6 peaks for 2θ = 10–80°, low angle first:
d = 2.854 Å, rel. 100; d = 2.472 Å, rel. 66; d = 1.748 Å, rel. 46; d = 1.491 Å, rel. 44; d = 1.427 Å, rel. 15; d = 1.236 Å, rel. 7

Structural model:
Lattice parameters (Å, degrees): 4.9436 4.9436 4.9436 90.00 90.00 90.00
Sites, in units of the cell vectors:
Tb 0.0000 0.0000 0.0000
Tb 0.0000 0.5000 0.5000
Tb 0.5000 0.0000 0.5000
Tb 0.5000 0.5000 0.0000
N 0.0000 0.0000 0.5000
N 0.0000 0.5000 0.0000
N 0.5000 0.0000 0.0000

---

Q: What is the formula in the sixth record?
A: Tb4N3